1.
AcTbPr5Tm2: computed powder diffractogram (Cu Ka), based on a cell relaxed with PBE.
Peak positions follow from Bragg's law for the DFT cell and can differ from measured ones.

Peak list (10 most intense, 2θ from 10° to 80°, by angle)
- 2θ 26.85, I = 26
- 2θ 28.72, I = 27
- 2θ 28.91, I = 26
- 2θ 30.62, I = 95
- 2θ 31.56, I = 100
- 2θ 32.06, I = 67
- 2θ 32.53, I = 64
- 2θ 43.57, I = 18
- 2θ 43.71, I = 17
- 2θ 56.83, I = 18

```
AcTbPr5Tm2
1.0
2.7918 -12.2639 0.0000
2.7918 12.2639 0.0000
0.0000 0.0000 9.5723
Ac Tb Pr Tm
2 2 10 4
Direct
0.1026 0.8974 0.5000
0.8974 0.1026 0.0000
0.2652 0.7348 0.8926
0.7348 0.2652 0.3926
0.0247 0.9753 0.1691
0.1069 0.8931 0.8923
0.1887 0.8113 0.2020
0.2408 0.7592 0.5684
0.4903 0.5097 0.3841
0.5097 0.4903 0.8841
0.7592 0.2408 0.0684
0.8113 0.1887 0.7020
0.8931 0.1069 0.3923
0.9753 0.0247 0.6691
0.3250 0.6750 0.2534
0.3880 0.6120 0.6357
0.6120 0.3880 0.1357
0.6750 0.3250 0.7534
```

2.
Sm5HgTe2: computed powder diffractogram (Cu Ka), based on a cell relaxed with PBE.
Peak positions follow from Bragg's law for the DFT cell and can differ from measured ones.

Peak list (10 most intense, 2θ from 10° to 80°, by angle)
- 2θ 24.14, I = 26
- 2θ 29.20, I = 71
- 2θ 31.02, I = 40
- 2θ 32.37, I = 100
- 2θ 38.24, I = 15
- 2θ 38.65, I = 22
- 2θ 40.00, I = 16
- 2θ 50.29, I = 17
- 2θ 53.81, I = 24
- 2θ 62.04, I = 16

```
Sm5HgTe2
1.0
3.0580 -6.4112 0.0000
3.0580 6.4112 0.0000
0.0000 0.0000 13.5230
Sm Hg Te
10 2 4
Direct
0.0554 0.9446 0.6128
0.0554 0.9446 0.8872
0.3754 0.6246 0.2500
0.3794 0.6206 0.5553
0.3794 0.6206 0.9447
0.6206 0.3794 0.0553
0.6206 0.3794 0.4447
0.6246 0.3754 0.7500
0.9446 0.0554 0.1128
0.9446 0.0554 0.3872
0.2576 0.7424 0.7500
0.7424 0.2576 0.2500
0.1861 0.8139 0.0908
0.1861 0.8139 0.4092
0.8139 0.1861 0.5908
0.8139 0.1861 0.9092
```

3.
Tl3Cd8Hg3: computed powder diffractogram (Cu Ka), based on a cell relaxed with PBE.
Peak positions follow from Bragg's law for the DFT cell and can differ from measured ones.

Peak list (10 most intense, 2θ from 10° to 80°, by angle)
- 2θ 31.10, I = 100
- 2θ 32.02, I = 23
- 2θ 33.44, I = 36
- 2θ 34.84, I = 45
- 2θ 37.04, I = 20
- 2θ 38.84, I = 15
- 2θ 48.04, I = 15
- 2θ 58.90, I = 13
- 2θ 60.15, I = 14
- 2θ 61.53, I = 13

```
Tl3Cd8Hg3
1.0
-2.5753 5.2886 6.8781
2.5753 -5.2886 6.8781
2.5753 5.2886 -6.8781
Tl Cd Hg
3 8 3
Direct
0.0000 0.0000 0.0000
0.2999 0.2999 0.0000
0.7001 0.7001 0.0000
0.0402 0.6767 0.3635
0.1410 0.8772 0.2638
0.3133 0.6767 0.6365
0.3866 0.1228 0.2638
0.6134 0.8772 0.7362
0.6867 0.3233 0.3635
0.8590 0.1228 0.7362
0.9598 0.3233 0.6365
0.3050 0.5000 0.8050
0.5000 0.0000 0.5000
0.6950 0.5000 0.1950
```